LiCeGe2Os: theoretical XRD peak list (copper Kα), based on a DFT-relaxed cell (GGA-PBE, Alexandria).
Intensities are scaled so that the largest is 100.

a = 5.9656 Å, b = 5.9656 Å, c = 5.9656 Å
α = 138.59°, β = 138.59°, γ = 59.99°
Atoms (fractional coordinates):
Li 0.0000 0.0000 0.0000
Ce 0.7500 0.2500 0.5000
Ge 0.1241 0.6241 0.5000
Ge 0.3759 0.8759 0.5000
Os 0.5000 0.5000 0.0000

The 10 most intense peaks (10 to 90 degrees two-theta), by angle:
2θ (°), d [Å], intensity
22.8, 3.905, 84
33.6, 2.668, 89
34.7, 2.583, 100
42.9, 2.109, 56
46.5, 1.953, 17
49.1, 1.856, 52
55.5, 1.654, 42
62.3, 1.491, 36
67.2, 1.393, 32
73.3, 1.292, 30